The following is a theoretical powder XRD pattern of Tb3FeB7. It was derived from a DFT-relaxed cell (PBE, the Materials Project), using Cu Kα.

```
Tb3FeB7
1.0
1.7185 -7.8867 0.0000
1.7185 7.8867 0.0000
0.0000 0.0000 9.3478
Tb Fe B
6 2 14
Direct
0.1047 0.8953 0.5602
0.1047 0.8953 0.9398
0.2430 0.7570 0.2500
0.7570 0.2430 0.7500
0.8953 0.1047 0.0602
0.8953 0.1047 0.4398
0.0548 0.9452 0.2500
0.9452 0.0548 0.7500
0.2725 0.7275 0.5325
0.2725 0.7275 0.9675
0.3701 0.6299 0.6533
0.3701 0.6299 0.8467
0.4610 0.5390 0.2500
0.4777 0.5223 0.5995
0.4777 0.5223 0.9005
0.5223 0.4777 0.0995
0.5223 0.4777 0.4005
0.5390 0.4610 0.7500
0.6299 0.3701 0.1533
0.6299 0.3701 0.3467
0.7275 0.2725 0.0325
0.7275 0.2725 0.4675
```

Top 6 peaks for 2θ from 10° to 90°, in order of rising 2θ:
d/Å  2θ (°)  I/Imax
3.358  26.5  77
3.014  29.6  96
2.898  30.9  70
2.750  32.6  58
2.629  34.1  43
2.284  39.5  100

***

The following is a theoretical powder XRD pattern of Tb4Fe3B6. It was derived from a DFT-relaxed cell (PBE, the Materials Project), using Cu Kα.

```
Tb4Fe3B6
1.0
2.6655 1.5389 7.3384
-2.6655 1.5389 7.3384
0.0000 -3.0778 7.3384
Tb Fe B
4 3 6
Direct
0.0878 0.0878 0.0878
0.2444 0.2444 0.2444
0.7556 0.7556 0.7556
0.9122 0.9122 0.9122
0.3865 0.3865 0.3865
0.5000 0.5000 0.5000
0.6135 0.6135 0.6135
0.0000 0.3327 0.6673
0.0000 0.6673 0.3327
0.3327 0.0000 0.6673
0.3327 0.6673 0.0000
0.6673 0.0000 0.3327
0.6673 0.3327 0.0000
```

Top 6 peaks for 2θ from 10° to 90°, in order of rising 2θ:
d/Å  2θ (°)  I/Imax
3.669  24.3  38
2.665  33.6  100
2.599  34.5  25
2.156  41.9  71
1.539  60.1  21
1.511  61.3  18

***

The following is a theoretical powder XRD pattern of Th2FeB10. It was derived from a DFT-relaxed cell (PBE, the Materials Project), using Cu Kα.

```
Th2FeB10
1.0
5.6296 0.0000 0.0000
0.0000 11.2477 0.0000
0.0000 0.0000 4.1808
Th Fe B
4 2 20
Direct
0.2091 0.1313 0.0000
0.2909 0.6313 0.0000
0.7091 0.3687 0.0000
0.7909 0.8687 0.0000
0.0000 0.5000 0.5000
0.5000 0.0000 0.5000
0.0396 0.3125 0.5000
0.1269 0.9600 0.5000
0.1477 0.8030 0.5000
0.2050 0.3862 0.2005
0.2050 0.3862 0.7995
0.2950 0.8862 0.2005
0.2950 0.8862 0.7995
0.3523 0.3030 0.5000
0.3731 0.4600 0.5000
0.4604 0.8125 0.5000
0.5396 0.1875 0.5000
0.6269 0.5400 0.5000
0.6477 0.6970 0.5000
0.7050 0.1138 0.2005
0.7050 0.1138 0.7995
0.7950 0.6138 0.2005
0.7950 0.6138 0.7995
0.8523 0.1970 0.5000
0.8731 0.0400 0.5000
0.9604 0.6875 0.5000
```

Top 6 peaks for 2θ from 10° to 90°, in order of rising 2θ:
d/Å  2θ (°)  I/Imax
4.181  21.3  37
3.979  22.3  81
2.882  31.0  100
2.813  31.8  34
2.334  38.6  72
1.851  49.2  34

***

The following is a theoretical powder XRD pattern of TmFe2B2. It was derived from a DFT-relaxed cell (PBE, the Materials Project), using Cu Kα.

```
TmFe2B2
1.0
-1.7413 1.7413 4.7001
1.7413 -1.7413 4.7001
1.7413 1.7413 -4.7001
Tm Fe B
1 2 2
Direct
0.0000 0.0000 0.0000
0.2500 0.7500 0.5000
0.7500 0.2500 0.5000
0.3760 0.3760 0.0000
0.6240 0.6240 0.0000
```

Top 6 peaks for 2θ from 10° to 90°, in order of rising 2θ:
d/Å  2θ (°)  I/Imax
3.266  27.3  89
2.350  38.3  28
2.329  38.7  48
2.181  41.4  100
1.741  52.6  27
1.399  66.9  21

***

The following is a theoretical powder XRD pattern of UFeB4. It was derived from a DFT-relaxed cell (PBE, the Materials Project), using Cu Kα.

```
UFeB4
1.0
5.8731 0.0000 0.0000
0.0000 11.3812 0.0000
0.0000 0.0000 3.3754
U Fe B
4 4 16
Direct
0.1274 0.1504 0.0000
0.3726 0.6504 0.0000
0.6274 0.3496 0.0000
0.8726 0.8496 0.0000
0.1348 0.4111 0.0000
0.3652 0.9111 0.0000
0.6348 0.0889 0.0000
0.8652 0.5889 0.0000
0.0242 0.6913 0.5000
0.1136 0.5457 0.5000
0.1350 0.9659 0.5000
0.2163 0.8132 0.5000
0.2837 0.3132 0.5000
0.3650 0.4659 0.5000
0.3864 0.0457 0.5000
0.4758 0.1913 0.5000
0.5242 0.8087 0.5000
0.6136 0.9543 0.5000
0.6350 0.5341 0.5000
0.7163 0.6868 0.5000
0.7837 0.1868 0.5000
0.8650 0.0341 0.5000
0.8864 0.4543 0.5000
0.9758 0.3087 0.5000
```

Top 6 peaks for 2θ from 10° to 90°, in order of rising 2θ:
d/Å  2θ (°)  I/Imax
4.087  21.7  39
3.375  26.4  67
3.187  28.0  36
2.844  31.5  89
2.318  38.8  48
2.175  41.5  100

***

The following is a theoretical powder XRD pattern of U2Fe21B6. It was derived from a DFT-relaxed cell (PBE, the Materials Project), using Cu Kα.

```
U2Fe21B6
1.0
0.0000 5.3602 5.3602
5.3602 0.0000 5.3602
5.3602 5.3602 0.0000
U Fe B
2 21 6
Direct
0.2500 0.2500 0.2500
0.7500 0.7500 0.7500
0.0000 0.0000 0.0000
0.0000 0.0000 0.3367
0.0000 0.0000 0.6633
0.0000 0.3367 0.0000
0.0000 0.3367 0.6633
0.0000 0.6633 0.0000
0.0000 0.6633 0.3367
0.1437 0.6188 0.6188
0.3367 0.0000 0.0000
0.3367 0.0000 0.6633
0.3367 0.6633 0.0000
0.3812 0.3812 0.3812
0.3812 0.3812 0.8563
0.3812 0.8563 0.3812
0.6188 0.1437 0.6188
0.6188 0.6188 0.1437
0.6188 0.6188 0.6188
0.6633 0.0000 0.0000
0.6633 0.0000 0.3367
0.6633 0.3367 0.0000
0.8563 0.3812 0.3812
0.2728 0.2728 0.7272
0.2728 0.7272 0.2728
0.2728 0.7272 0.7272
0.7272 0.2728 0.2728
0.7272 0.2728 0.7272
0.7272 0.7272 0.2728
```

Top 6 peaks for 2θ from 10° to 90°, in order of rising 2θ:
d/Å  2θ (°)  I/Imax
5.360  16.5  59
3.790  23.5  45
2.397  37.5  100
2.188  41.3  98
2.063  43.9  82
1.895  48.0  49